Entry 1:
Theoretical powder XRD pattern
Compound: Na8Au3
Radiation: Cu Kα, 1.54184 Å
Structure: a GGA-PBE-relaxed structure

Peak list (6 most intense, 2θ from 10° to 90°, most intense first)
2.580 Å, 34.77°, I 100
4.324 Å, 20.54°, I 66
3.972 Å, 22.38°, I 28
1.489 Å, 62.38°, I 27
1.824 Å, 49.99°, I 18
2.145 Å, 42.12°, I 17

Atomic structure:
abc: 11.990 11.990 11.990
angles: 24.82 24.82 24.82
Fractional positions:
Na1 0.091 0.091 0.091
Na2 0.183 0.183 0.183
Na3 0.275 0.275 0.275
Na4 0.366 0.366 0.366
Na5 0.634 0.634 0.634
Na6 0.725 0.725 0.725
Na7 0.817 0.817 0.817
Na8 0.909 0.909 0.909
Au1 0.000 0.000 0.000
Au2 0.458 0.458 0.458
Au3 0.542 0.542 0.542



Entry 2:
Theoretical powder XRD pattern
Compound: Na5Au3
Radiation: Cu Kα, 1.54184 Å
Structure: a GGA-PBE-relaxed structure

Peak list (6 most intense, 2θ from 10° to 90°, most intense first)
3.821 Å, 23.28°, I 100
3.716 Å, 23.95°, I 82
2.537 Å, 35.38°, I 52
2.514 Å, 35.71°, I 41
1.963 Å, 46.25°, I 37
2.628 Å, 34.12°, I 36

Atomic structure:
abc: 8.763 8.763 8.763
angles: 95.78 95.78 142.98
Fractional positions:
Na1 0.082 0.783 0.865
Na2 0.217 0.082 0.300
Na3 0.250 0.750 0.500
Na4 0.283 0.582 0.865
Na5 0.418 0.283 0.700
Na6 0.582 0.717 0.300
Na7 0.717 0.418 0.135
Na8 0.750 0.250 0.500
Na9 0.783 0.918 0.700
Na10 0.918 0.217 0.135
Au1 0.161 0.339 0.500
Au2 0.250 0.250 0.000
Au3 0.339 0.839 0.177
Au4 0.661 0.161 0.823
Au5 0.750 0.750 0.000
Au6 0.839 0.661 0.500



Entry 3:
Theoretical powder XRD pattern
Compound: NaAu5
Radiation: Cu Kα, 1.54184 Å
Structure: a GGA-PBE-relaxed structure

Peak list (6 most intense, 2θ from 10° to 90°, most intense first)
2.410 Å, 37.31°, I 100
2.139 Å, 42.24°, I 18
2.095 Å, 43.17°, I 17
2.031 Å, 44.61°, I 15
1.281 Å, 73.98°, I 15
1.262 Å, 75.29°, I 13

Atomic structure:
abc: 6.732 6.732 4.191
angles: 90.00 90.00 144.88
Fractional positions:
Na1 0.000 0.000 0.000
Au1 0.167 0.833 0.500
Au2 0.335 0.665 0.000
Au3 0.500 0.500 0.500
Au4 0.665 0.335 0.000
Au5 0.833 0.167 0.500



Entry 4:
Theoretical powder XRD pattern
Compound: Na15Au
Radiation: Cu Kα, 1.54184 Å
Structure: a GGA-PBE-relaxed structure

Peak list (6 most intense, 2θ from 10° to 90°, most intense first)
2.781 Å, 32.19°, I 100
5.562 Å, 15.93°, I 70
6.339 Å, 13.97°, I 48
4.279 Å, 20.76°, I 32
3.169 Å, 28.16°, I 30
2.900 Å, 30.83°, I 22

Atomic structure:
abc: 7.319 7.319 11.600
angles: 90.00 90.00 120.00
Fractional positions:
Na1 0.000 0.000 0.000
Na2 0.011 0.505 0.500
Na3 0.315 0.157 0.275
Na4 0.315 0.157 0.725
Na5 0.333 0.667 0.240
Na6 0.333 0.667 0.760
Na7 0.495 0.505 0.500
Na8 0.495 0.989 0.500
Na9 0.505 0.009 0.000
Na10 0.505 0.495 0.000
Na11 0.843 0.157 0.275
Na12 0.843 0.157 0.725
Na13 0.843 0.685 0.275
Na14 0.843 0.685 0.725
Na15 0.991 0.495 0.000
Au1 0.000 0.000 0.500



Entry 5:
Theoretical powder XRD pattern
Compound: Na5Au
Radiation: Cu Kα, 1.54184 Å
Structure: a GGA-PBE-relaxed structure

Peak list (6 most intense, 2θ from 10° to 90°, most intense first)
6.488 Å, 13.65°, I 100
3.657 Å, 24.34°, I 42
2.615 Å, 34.29°, I 39
2.598 Å, 34.53°, I 34
5.220 Å, 16.98°, I 33
2.905 Å, 30.78°, I 28

Atomic structure:
abc: 10.441 4.427 8.282
angles: 90.00 90.00 90.00
Fractional positions:
Na1 0.000 0.000 0.000
Na2 0.073 0.500 0.312
Na3 0.250 0.000 0.578
Na4 0.250 0.500 0.937
Na5 0.427 0.500 0.312
Na6 0.500 0.000 0.000
Na7 0.573 0.500 0.688
Na8 0.750 0.000 0.422
Na9 0.750 0.500 0.063
Na10 0.927 0.500 0.688
Au1 0.250 0.000 0.196
Au2 0.750 0.000 0.804



Entry 6:
Theoretical powder XRD pattern
Compound: Na6Au5
Radiation: Cu Kα, 1.54184 Å
Structure: a GGA-PBE-relaxed structure

Peak list (6 most intense, 2θ from 10° to 90°, most intense first)
2.495 Å, 35.99°, I 100
3.497 Å, 25.47°, I 65
3.561 Å, 25.00°, I 42
2.477 Å, 36.27°, I 24
2.469 Å, 36.39°, I 24
1.445 Å, 64.49°, I 18

Atomic structure:
abc: 8.602 8.602 8.602
angles: 146.64 131.09 60.50
Fractional positions:
Na1 0.082 0.333 0.750
Na2 0.248 0.000 0.248
Na3 0.417 0.667 0.750
Na4 0.583 0.333 0.250
Na5 0.752 0.000 0.752
Na6 0.918 0.667 0.250
Au1 0.166 0.166 0.000
Au2 0.334 0.834 0.500
Au3 0.500 0.500 0.000
Au4 0.666 0.166 0.500
Au5 0.834 0.834 0.000



Entry 7:
Theoretical powder XRD pattern
Compound: Na3Au2
Radiation: Cu Kα, 1.54184 Å
Structure: a GGA-PBE-relaxed structure

Peak list (6 most intense, 2θ from 10° to 90°, most intense first)
3.536 Å, 25.19°, I 100
3.760 Å, 23.66°, I 79
2.830 Å, 31.62°, I 75
2.664 Å, 33.65°, I 67
2.261 Å, 39.87°, I 64
1.940 Å, 46.84°, I 38

Atomic structure:
abc: 8.543 8.543 8.543
angles: 141.31 141.31 55.87
Fractional positions:
Na1 0.000 0.000 0.000
Na2 0.000 0.000 0.500
Na3 0.000 0.500 0.000
Na4 0.375 0.625 0.750
Na5 0.500 0.000 0.500
Na6 0.625 0.375 0.250
Au1 0.186 0.436 0.750
Au2 0.436 0.186 0.250
Au3 0.564 0.814 0.750
Au4 0.814 0.564 0.250



Entry 8:
Theoretical powder XRD pattern
Compound: Na2Au3
Radiation: Cu Kα, 1.54184 Å
Structure: a GGA-PBE-relaxed structure

Peak list (6 most intense, 2θ from 10° to 90°, most intense first)
4.302 Å, 20.65°, I 100
2.313 Å, 38.94°, I 99
1.841 Å, 49.51°, I 41
2.087 Å, 43.35°, I 31
2.771 Å, 32.31°, I 30
2.387 Å, 37.68°, I 30

Atomic structure:
abc: 5.650 5.650 5.650
angles: 130.02 121.09 80.83
Fractional positions:
Na1 0.189 0.189 0.000
Na2 0.811 0.811 0.000
Au1 0.243 0.500 0.743
Au2 0.500 0.000 0.500
Au3 0.757 0.500 0.257



Entry 9:
Theoretical powder XRD pattern
Compound: Na5Au
Radiation: Cu Kα, 1.54184 Å
Structure: a GGA-PBE-relaxed structure

Peak list (6 most intense, 2θ from 10° to 90°, most intense first)
5.343 Å, 16.59°, I 100
6.493 Å, 13.64°, I 79
4.126 Å, 21.54°, I 78
2.775 Å, 32.26°, I 63
2.462 Å, 36.49°, I 53
2.389 Å, 37.65°, I 52

Atomic structure:
abc: 8.409 8.409 8.409
angles: 126.60 126.60 78.90
Fractional positions:
Na1 0.000 0.000 0.000
Na2 0.019 0.519 0.832
Na3 0.187 0.019 0.500
Na4 0.313 0.813 0.832
Na5 0.481 0.313 0.500
Na6 0.500 0.500 0.000
Na7 0.519 0.687 0.500
Na8 0.687 0.187 0.168
Na9 0.813 0.981 0.500
Na10 0.981 0.481 0.168
Au1 0.250 0.250 0.000
Au2 0.750 0.750 0.000



Entry 10:
Theoretical powder XRD pattern
Compound: Na2Au7
Radiation: Cu Kα, 1.54184 Å
Structure: a GGA-PBE-relaxed structure

Peak list (6 most intense, 2θ from 10° to 90°, most intense first)
2.399 Å, 37.50°, I 100
4.818 Å, 18.42°, I 99
2.200 Å, 41.03°, I 61
2.325 Å, 38.73°, I 50
2.098 Å, 43.12°, I 46
1.199 Å, 80.00°, I 34

Atomic structure:
abc: 14.314 14.314 14.314
angles: 22.56 22.56 22.56
Fractional positions:
Na1 0.054 0.054 0.054
Na2 0.151 0.151 0.151
Na3 0.849 0.849 0.849
Na4 0.946 0.946 0.946
Au1 0.000 0.500 0.500
Au2 0.109 0.614 0.614
Au3 0.277 0.277 0.277
Au4 0.386 0.386 0.891
Au5 0.386 0.891 0.386
Au6 0.389 0.389 0.389
Au7 0.500 0.000 0.500
Au8 0.500 0.500 0.000
Au9 0.500 0.500 0.500
Au10 0.611 0.611 0.611
Au11 0.614 0.109 0.614
Au12 0.614 0.614 0.109
Au13 0.723 0.723 0.723
Au14 0.891 0.386 0.386



Entry 11:
Theoretical powder XRD pattern
Compound: Na3Au2
Radiation: Cu Kα, 1.54184 Å
Structure: a GGA-PBE-relaxed structure

Peak list (6 most intense, 2θ from 10° to 90°, most intense first)
3.615 Å, 24.62°, I 100
2.591 Å, 34.61°, I 89
5.716 Å, 15.50°, I 65
2.556 Å, 35.10°, I 41
3.716 Å, 23.95°, I 34
2.369 Å, 37.99°, I 28

Atomic structure:
abc: 8.084 8.084 7.433
angles: 90.00 90.00 90.00
Fractional positions:
Na1 0.000 0.500 0.250
Na2 0.000 0.500 0.750
Na3 0.138 0.138 0.000
Na4 0.196 0.196 0.500
Na5 0.304 0.696 0.000
Na6 0.362 0.638 0.500
Na7 0.500 0.000 0.250
Na8 0.500 0.000 0.750
Na9 0.638 0.362 0.500
Na10 0.696 0.304 0.000
Na11 0.804 0.804 0.500
Na12 0.862 0.862 0.000
Au1 0.131 0.869 0.303
Au2 0.131 0.869 0.697
Au3 0.369 0.369 0.197
Au4 0.369 0.369 0.803
Au5 0.631 0.631 0.197
Au6 0.631 0.631 0.803
Au7 0.869 0.131 0.303
Au8 0.869 0.131 0.697



Entry 12:
Theoretical powder XRD pattern
Compound: NaAu8
Radiation: Cu Kα, 1.54184 Å
Structure: a GGA-PBE-relaxed structure

Peak list (6 most intense, 2θ from 10° to 90°, most intense first)
2.408 Å, 37.35°, I 100
2.095 Å, 43.18°, I 33
1.262 Å, 75.32°, I 27
1.471 Å, 63.21°, I 22
2.066 Å, 43.82°, I 16
1.249 Å, 76.23°, I 13

Atomic structure:
abc: 6.616 6.616 6.616
angles: 95.59 95.59 143.61
Fractional positions:
Na1 0.000 0.000 0.000
Au1 0.000 0.333 0.333
Au2 0.000 0.667 0.667
Au3 0.333 0.000 0.333
Au4 0.334 0.334 0.668
Au5 0.334 0.666 0.000
Au6 0.666 0.334 0.000
Au7 0.666 0.666 0.332
Au8 0.667 0.000 0.667